[1]
Calculated powder X-ray diffraction pattern
Compound: LaCu6Si2
Radiation: Cu Kα (λ = 1.5418 Å)
Structure: a crystal structure in Alexandria, relaxed with GGA-PBE

```
data_LaCu6Si2
_space_group_name_H-M_alt 'P 4/m m m'
_space_group_IT_number 123
_space_group_name_Hall '-P 4 2'
_cell_length_a 4.166
_cell_length_b 4.166
_cell_length_c 7.740
_cell_angle_alpha 90.00
_cell_angle_beta 90.00
_cell_angle_gamma 90.00
loop_
_atom_site_label
_atom_site_type_symbol
_atom_site_fract_x
_atom_site_fract_y
_atom_site_fract_z
La1 La 0.000 0.000 0.000
Cu1 Cu 0.000 0.000 0.500
Cu2 Cu 0.000 0.500 0.314
Cu3 Cu 0.500 0.500 0.500
Si1 Si 0.500 0.500 0.159
```

Most intense lines, 2θ = 5–70°, by intensity:
hkl 1 1 2, 2.344 Å, 38.4°, rel. 100
hkl 2 0 0, 2.083 Å, 43.4°, rel. 66
hkl 1 1 3, 1.941 Å, 46.8°, rel. 28
hkl 1 0 2, 2.835 Å, 31.6°, rel. 22
hkl 2 2 0, 1.473 Å, 63.1°, rel. 20
hkl 1 0 1, 3.668 Å, 24.3°, rel. 18
hkl 1 0 3, 2.193 Å, 41.2°, rel. 15
hkl 1 1 1, 2.753 Å, 32.5°, rel. 15
hkl 0 0 1, 7.740 Å, 11.4°, rel. 14
hkl 1 1 4, 1.617 Å, 56.9°, rel. 10
hkl 2 1 3, 1.510 Å, 61.4°, rel. 9
hkl 2 1 2, 1.679 Å, 54.7°, rel. 9

[2]
Calculated powder X-ray diffraction pattern
Compound: La3Cu3Si
Radiation: Cu Kα (λ = 1.5418 Å)
Structure: a crystal structure in Alexandria, relaxed with GGA-PBE

```
data_La3Cu3Si
_space_group_name_H-M_alt 'C 1 2/m 1'
_space_group_IT_number 12
_space_group_name_Hall '-C 2y'
_cell_length_a 10.701
_cell_length_b 4.284
_cell_length_c 15.107
_cell_angle_alpha 90.00
_cell_angle_beta 109.80
_cell_angle_gamma 90.00
loop_
_atom_site_label
_atom_site_type_symbol
_atom_site_fract_x
_atom_site_fract_y
_atom_site_fract_z
La1 La 0.043 0.000 0.393
La2 La 0.100 0.000 0.919
La3 La 0.239 0.500 0.762
Cu1 Cu 0.058 0.500 0.238
Cu2 Cu 0.101 0.500 0.078
Cu3 Cu 0.144 0.500 0.540
Si1 Si 0.249 0.500 0.394
```

Most intense lines, 2θ = 5–70°, by intensity:
hkl 1 1 -4, 2.833 Å, 31.6°, rel. 100
hkl 3 1 -1, 2.729 Å, 32.8°, rel. 96
hkl 0 2 0, 2.142 Å, 42.2°, rel. 51
hkl 3 1 2, 2.285 Å, 39.4°, rel. 47
hkl 1 1 3, 2.850 Å, 31.4°, rel. 47
hkl 0 0 6, 2.369 Å, 38.0°, rel. 39
hkl 4 0 -2, 2.675 Å, 33.5°, rel. 39
hkl 1 1 2, 3.268 Å, 27.3°, rel. 36
hkl 3 1 5, 1.721 Å, 53.2°, rel. 26
hkl 2 0 -4, 3.518 Å, 25.3°, rel. 26
hkl 0 2 6, 1.589 Å, 58.0°, rel. 22
hkl 3 1 -4, 2.457 Å, 36.6°, rel. 22

[3]
Calculated powder X-ray diffraction pattern
Compound: LaCu4Si4
Radiation: Cu Kα (λ = 1.5418 Å)
Structure: a crystal structure in Alexandria, relaxed with GGA-PBE

```
data_LaCu4Si4
_space_group_name_H-M_alt 'P 42/n m c'
_space_group_IT_number 137
_cell_length_a 5.951
_cell_length_b 5.951
_cell_length_c 8.080
_cell_angle_alpha 90.00
_cell_angle_beta 90.00
_cell_angle_gamma 90.00
loop_
_space_group_symop_operation_xyz
'x,y,z'
'-x,-y,-z'
'-y+1/2,x,z+1/2'
'y+1/2,-x,-z+1/2'
'-x+1/2,-y+1/2,z'
'x+1/2,y+1/2,-z'
'y,-x+1/2,z+1/2'
'-y,x+1/2,-z+1/2'
'x+1/2,-y,-z'
'-x+1/2,y,z'
'-y,-x,-z+1/2'
'y,x,z+1/2'
'-x,y+1/2,-z'
'x,-y+1/2,z'
'y+1/2,x+1/2,-z+1/2'
'-y+1/2,-x+1/2,z+1/2'
loop_
_atom_site_label
_atom_site_type_symbol
_atom_site_fract_x
_atom_site_fract_y
_atom_site_fract_z
La1 La 0.250 0.750 0.250
Cu1 Cu 0.002 0.250 0.147
Si1 Si 0.054 0.250 0.442
```

Most intense lines, 2θ = 5–70°, by intensity:
hkl 2 1 1, 2.528 Å, 35.5°, rel. 100
hkl 2 0 3, 1.997 Å, 45.4°, rel. 31
hkl 1 0 3, 2.454 Å, 36.6°, rel. 30
hkl 1 1 2, 2.914 Å, 30.7°, rel. 27
hkl 3 2 1, 1.617 Å, 56.9°, rel. 20
hkl 2 2 4, 1.457 Å, 63.9°, rel. 15
hkl 4 0 0, 1.488 Å, 62.4°, rel. 14
hkl 3 0 3, 1.597 Å, 57.7°, rel. 13
hkl 2 1 2, 2.222 Å, 40.6°, rel. 12
hkl 2 0 0, 2.975 Å, 30.0°, rel. 12
hkl 1 1 0, 4.208 Å, 21.1°, rel. 11
hkl 2 2 0, 2.104 Å, 43.0°, rel. 10